# TaNb2Co2Ru5
Computed X-ray diffraction stick pattern, Cu Kα (λ = 1.5418 Å). Input: a structure optimized by DFT (GGA-PBE).

Cell and atoms:
Cell: 8.7297 8.7297 3.8873 Å, 90.00 90.00 90.00°
Space group P4/mbm (No. 127)
Inequivalent atoms, fractional coordinates:
Ta  0.0000  0.0000  0.0000 x2
Nb  0.1627  0.3373  0.0000 x4
Co  0.1302  0.6302  0.0000 x4
Ru  0.0000  0.5000  0.5000 x2
Ru  0.0752  0.7969  0.5000 x8

Peak list (10 most intense, 2θ from 15° to 90°, in order of rising 2θ)
| h k l | 2theta | I/Imax |
| --- | --- | --- |
| 2 1 1 | 32.49 | 17 |
| 2 2 1 | 37.19 | 23 |
| 3 1 1 | 40.06 | 100 |
| 4 1 0 | 42.71 | 19 |
| 3 2 1 | 44.06 | 21 |
| 4 2 0 | 46.52 | 19 |
| 0 0 2 | 46.74 | 24 |
| 4 1 2 | 65.15 | 11 |
| 4 2 2 | 68.07 | 12 |
| 3 1 3 | 82.18 | 12 |

=====

# RuC2I
Computed X-ray diffraction stick pattern, Cu Kα (λ = 1.5418 Å). Input: a structure optimized by DFT (GGA-PBE).

Cell and atoms:
Cell: 6.1111 6.1111 8.6188 Å, 90.00 90.00 90.00°
Space group I4_1/amd (No. 141, origin choice 2)
Inequivalent atoms, fractional coordinates:
Ru  0.0000  0.2500  0.3750 x4
C  0.0000  0.0000  0.5000 x8
I  0.0000  0.2500  0.8750 x4

Peak list (10 most intense, 2θ from 15° to 90°, in order of rising 2θ)
| h k l | 2theta | I/Imax |
| --- | --- | --- |
| 2 0 0 | 29.25 | 100 |
| 2 2 0 | 41.81 | 10 |
| 0 0 4 | 41.93 | 5 |
| 3 1 2 | 51.88 | 39 |
| 4 0 0 | 60.67 | 14 |
| 4 2 0 | 68.70 | 11 |
| 1 1 6 | 68.88 | 6 |
| 4 0 4 | 76.42 | 4 |
| 5 1 2 | 83.80 | 13 |
| 3 1 6 | 83.93 | 7 |

=====

# NdErTlPb
Computed X-ray diffraction stick pattern, Cu Kα (λ = 1.5418 Å). Input: a structure optimized by DFT (GGA-PBE).

Cell and atoms:
Cell: 5.0547 5.0547 8.9380 Å, 90.00 90.00 90.00°
Space group I-4m2 (No. 119)
Inequivalent atoms, fractional coordinates:
Nd  0.0000  0.0000  0.0000 x2
Er  0.0000  0.0000  0.5000 x2
Tl  0.0000  0.5000  0.2500 x2
Pb  0.0000  0.5000  0.7500 x2

Peak list (10 most intense, 2θ from 15° to 90°, in order of rising 2θ)
| h k l | 2theta | I/Imax |
| --- | --- | --- |
| 1 1 2 | 32.07 | 100 |
| 2 0 0 | 35.52 | 38 |
| 0 0 4 | 40.36 | 13 |
| 2 2 0 | 51.11 | 14 |
| 2 0 4 | 54.84 | 22 |
| 3 1 2 | 61.62 | 32 |
| 2 2 4 | 67.06 | 12 |
| 1 1 6 | 68.20 | 12 |
| 3 3 2 | 84.08 | 7 |
| 4 2 0 | 86.01 | 6 |

=====

# Tb4Sm2Er5
Computed X-ray diffraction stick pattern, Cu Kα (λ = 1.5418 Å). Input: a structure optimized by DFT (GGA-PBE).

Cell and atoms:
Cell: 3.6536 9.1939 10.8643 Å, 77.60 80.35 89.95°
Space group P-1 (No. 2)
Inequivalent atoms, fractional coordinates:
Tb  0.0285  0.2059  0.4435 x2
Tb  0.3276  0.5809  0.8440 x2
Sm  0.3850  0.9956  0.7292 x2
Er  0.1182  0.6938  0.2630 x2
Er  0.2496  0.1713  0.0017 x2
Er  0.5000  0.5000  0.5000 x1

Peak list (10 most intense, 2θ from 15° to 90°, in order of rising 2θ)
| h k l | 2theta | I/Imax |
| --- | --- | --- |
| 0 2 -2 | 28.90 | 15 |
| 0 1 -3 | 29.45 | 39 |
| 1 1 -1 | 30.29 | 15 |
| 0 3 2 | 31.05 | 59 |
| 1 -2 1 | 32.47 | 100 |
| 1 1 3 | 32.65 | 97 |
| 2 0 1 | 49.92 | 18 |
| -1 5 1 | 56.03 | 16 |
| 1 4 5 | 56.38 | 17 |
| 2 3 3 | 59.96 | 21 |

=====

# AcHg2SbPd2
Computed X-ray diffraction stick pattern, Cu Kα (λ = 1.5418 Å). Input: a structure optimized by DFT (GGA-PBE).

Cell and atoms:
Cell: 5.3310 5.3310 11.4500 Å, 90.00 90.00 90.00°
Space group I4/mmm (No. 139)
Inequivalent atoms, fractional coordinates:
Ac  0.0000  0.0000  0.0000 x2
Hg  0.0000  0.5000  0.2500 x4
Sb  0.0000  0.0000  0.5000 x2
Pd  0.0000  0.0000  0.2689 x4

Peak list (10 most intense, 2θ from 15° to 90°, in order of rising 2θ)
| h k l | 2theta | I/Imax |
| --- | --- | --- |
| 0 0 2 | 15.48 | 26 |
| 1 1 2 | 28.35 | 94 |
| 0 0 4 | 31.25 | 58 |
| 2 0 0 | 33.62 | 100 |
| 2 0 4 | 46.56 | 77 |
| 2 2 0 | 48.29 | 36 |
| 1 1 6 | 53.85 | 20 |
| 3 1 2 | 56.94 | 28 |
| 2 2 4 | 58.64 | 39 |
| 4 2 4 | 88.94 | 26 |

=====

# CdBiRhPb2
Computed X-ray diffraction stick pattern, Cu Kα (λ = 1.5418 Å). Input: a structure optimized by DFT (GGA-PBE).

Cell and atoms:
Cell: 5.2599 5.2599 5.2672 Å, 90.00 90.00 90.00°
Space group P4/mmm (No. 123)
Inequivalent atoms, fractional coordinates:
Cd  0.0000  0.0000  0.0000 x1
Bi  0.5000  0.5000  0.0000 x1
Rh  0.0000  0.0000  0.5000 x1
Pb  0.0000  0.5000  0.5000 x2

Peak list (10 most intense, 2θ from 15° to 90°, in order of rising 2θ)
| h k l | 2theta | I/Imax |
| --- | --- | --- |
| 0 0 1 | 16.83 | 9 |
| 1 0 1 | 23.91 | 17 |
| 1 1 1 | 29.40 | 100 |
| 2 0 0 | 34.07 | 92 |
| 2 2 0 | 48.96 | 67 |
| 3 1 1 | 58.14 | 46 |
| 2 2 2 | 60.99 | 23 |
| 3 3 1 | 79.37 | 19 |
| 4 0 2 | 81.84 | 21 |
| 4 2 0 | 81.91 | 10 |

=====

# RbTl4In4
Computed X-ray diffraction stick pattern, Cu Kα (λ = 1.5418 Å). Input: a structure optimized by DFT (GGA-PBE).

Cell and atoms:
Cell: 10.2002 10.2002 6.3139 Å, 90.00 90.00 90.00°
Space group P4_2/n (No. 86, origin choice 2)
Inequivalent atoms, fractional coordinates:
Rb  0.2500  0.2500  0.2500 x2
Tl  0.0983  0.8827  0.6228 x8
In  0.0741  0.8948  0.1281 x8

Peak list (10 most intense, 2θ from 15° to 90°, in order of rising 2θ)
| h k l | 2theta | I/Imax |
| --- | --- | --- |
| 2 0 0 | 17.39 | 18 |
| 2 1 1 | 24.07 | 15 |
| 3 1 0 | 27.66 | 100 |
| 1 0 2 | 29.62 | 73 |
| 4 0 0 | 35.19 | 33 |
| 3 3 0 | 37.40 | 32 |
| 3 0 2 | 38.93 | 83 |
| 2 3 2 | 42.93 | 15 |
| 4 1 2 | 46.64 | 28 |
| 3 4 2 | 53.48 | 43 |

=====

# CaAlZn6Ga
Computed X-ray diffraction stick pattern, Cu Kα (λ = 1.5418 Å). Input: a structure optimized by DFT (GGA-PBE).

Cell and atoms:
Cell: 5.7190 6.7050 19.5063 Å, 90.00 90.00 90.00°
Space group Imma (No. 74)
Inequivalent atoms, fractional coordinates:
Ca  0.0000  0.2500  0.0450 x4
Al  0.0000  0.0000  0.5000 x4
Zn  0.0000  0.2500  0.4042 x4
Zn  0.0000  0.2500  0.8864 x4
Zn  0.2355  0.0552  0.1758 x16
Ga  0.2500  0.2500  0.7500 x4

Peak list (10 most intense, 2θ from 15° to 90°, in order of rising 2θ)
| h k l | 2theta | I/Imax |
| --- | --- | --- |
| 0 1 3 | 19.01 | 33 |
| 1 1 2 | 22.37 | 52 |
| 2 0 2 | 32.63 | 100 |
| 0 1 7 | 34.87 | 33 |
| 0 2 6 | 38.58 | 90 |
| 0 3 1 | 40.63 | 39 |
| 2 1 5 | 41.40 | 43 |
| 2 2 0 | 41.51 | 40 |
| 2 2 4 | 45.66 | 47 |
| 2 3 1 | 52.16 | 46 |

=====

# LaCe5Sn6
Computed X-ray diffraction stick pattern, Cu Kα (λ = 1.5418 Å). Input: a structure optimized by DFT (GGA-PBE).

Cell and atoms:
Cell: 4.9788 9.0367 14.9194 Å, 90.00 90.00 90.00°
Space group Immm (No. 71)
Inequivalent atoms, fractional coordinates:
La  0.0000  0.0000  0.0000 x2
Ce  0.0000  0.0000  0.3335 x4
Ce  0.0000  0.5000  0.0000 x2
Ce  0.0000  0.5000  0.3323 x4
Sn  0.0000  0.2478  0.5000 x4
Sn  0.0000  0.2510  0.1680 x8

Peak list (10 most intense, 2θ from 15° to 90°, in order of rising 2θ)
| h k l | 2theta | I/Imax |
| --- | --- | --- |
| 1 2 3 | 32.25 | 100 |
| 2 0 0 | 36.10 | 37 |
| 0 4 0 | 39.90 | 14 |
| 2 0 6 | 51.98 | 13 |
| 2 4 0 | 54.89 | 22 |
| 3 2 3 | 62.50 | 30 |
| 2 4 6 | 67.48 | 12 |
| 1 6 3 | 67.67 | 12 |
| 3 2 9 | 85.55 | 7 |
| 4 0 6 | 87.68 | 3 |